Starting from a structure optimized by DFT (GGA+U), the XRD peak list of Ba12V4O19 was calculated for Cu Kα.

Cell and atoms:
abc: 10.432 12.050 10.458
angles: 90.00 90.04 90.00
Space group C2/m (No. 12)
Asymmetric unit:
Ba  0.000  0.237  0.000 [4 per cell]
Ba  0.000  0.242  0.500 [4 per cell]
Ba  0.070  0.500  0.238 [4 per cell]
Ba  0.074  0.000  0.752 [4 per cell]
Ba  0.241  0.000  0.427 [4 per cell]
Ba  0.249  0.000  0.071 [4 per cell]
V  0.249  0.250  0.254 [8 per cell]
O  0.000  0.000  0.000 [2 per cell]
O  0.000  0.000  0.500 [2 per cell]
O  0.000  0.500  0.000 [2 per cell]
O  0.113  0.151  0.246 [8 per cell]
O  0.113  0.346  0.727 [8 per cell]
O  0.232  0.350  0.388 [8 per cell]
O  0.242  0.156  0.885 [8 per cell]

The 10 most intense peaks (2θ = 15–90°), low angle first:
2θ = 22.53°, rel. 18, (2 2 0); 2θ = 28.01°, rel. 47, (1 1 -3); 2θ = 28.35°, rel. 100, (2 2 2); 2θ = 29.66°, rel. 34, (0 4 0); 2θ = 34.34°, rel. 26, (4 0 0); 2θ = 35.18°, rel. 57, (1 3 -3); 2θ = 38.55°, rel. 24, (2 0 4); 2θ = 46.66°, rel. 16, (1 5 -3); 2θ = 51.58°, rel. 17, (5 1 3); 2θ = 51.81°, rel. 26, (2 6 2)


Starting from a structure optimized by DFT (GGA+U), the XRD peak list of Ba2V3O7 was calculated for Cu Kα.

Cell and atoms:
abc: 3.877 20.521 4.251
angles: 90.00 90.00 90.00
Space group Amm2 (No. 38)
Asymmetric unit:
Ba  0.000  0.111  0.000 [4 per cell]
V  0.500  0.000  0.535 [2 per cell]
V  0.500  0.199  0.495 [4 per cell]
O  0.000  0.000  0.636 [2 per cell]
O  0.000  0.190  0.503 [4 per cell]
O  0.500  0.092  0.488 [4 per cell]
O  0.500  0.206  0.001 [4 per cell]

The 10 most intense peaks (2θ = 15–90°), low angle first:
2θ = 17.29°, rel. 31, (0 4 0); 2θ = 28.86°, rel. 71, (1 4 0); 2θ = 30.27°, rel. 100, (0 5 1); 2θ = 31.53°, rel. 98, (1 1 1); 2θ = 38.32°, rel. 31, (1 5 1); 2θ = 42.54°, rel. 34, (0 0 2); 2θ = 46.86°, rel. 27, (2 0 0); 2θ = 51.21°, rel. 34, (1 9 1); 2θ = 52.22°, rel. 29, (1 4 2); 2θ = 56.81°, rel. 32, (2 5 1)


Starting from a structure optimized by DFT (GGA+U), the XRD peak list of BaV4O8 was calculated for Cu Kα.

Cell and atoms:
abc: 10.147 6.115 8.080
angles: 90.00 127.94 90.00
Space group C2/m (No. 12)
Asymmetric unit:
Ba  0.000  0.000  0.000 [2 per cell]
V  0.000  0.249  0.500 [4 per cell]
V  0.237  0.500  0.469 [4 per cell]
O  0.080  0.240  0.337 [8 per cell]
O  0.157  0.000  0.668 [4 per cell]
O  0.162  0.500  0.653 [4 per cell]

The 10 most intense peaks (2θ = 15–90°), low angle first:
2θ = 17.48°, rel. 44, (2 0 -1); 2θ = 18.26°, rel. 85, (1 1 0); 2θ = 18.37°, rel. 72, (1 1 -1); 2θ = 26.91°, rel. 50, (1 1 1); 2θ = 27.14°, rel. 46, (1 1 -2); 2θ = 28.00°, rel. 64, (0 0 2); 2θ = 34.24°, rel. 77, (2 2 -1); 2θ = 35.39°, rel. 34, (4 0 -2); 2θ = 44.60°, rel. 100, (2 2 1); 2θ = 46.10°, rel. 48, (4 0 -4)


Starting from a structure optimized by DFT (GGA+U), the XRD peak list of Ba3V2O8 was calculated for Cu Kα.

Cell and atoms:
abc: 5.8959 5.8959 21.5936
angles: 90.00 90.00 120.00
Space group R-3m (No. 166, hexagonal axes)
Asymmetric unit:
Ba  0.0000  0.0000  0.0000 [3 per cell]
Ba  0.0000  0.0000  0.2052 [6 per cell]
V  0.0000  0.0000  0.4073 [6 per cell]
O  0.0000  0.0000  0.3272 [6 per cell]
O  0.0105  0.5052  0.2323 [18 per cell]

The 10 most intense peaks (2θ = 15–90°), low angle first:
2θ = 27.04°, rel. 100, (0 1 5); 2θ = 30.32°, rel. 90, (1 1 0); 2θ = 41.07°, rel. 42, (2 0 5); 2θ = 45.61°, rel. 26, (1 0 10); 2θ = 51.89°, rel. 31, (1 2 5); 2θ = 53.87°, rel. 17, (3 0 0); 2θ = 63.07°, rel. 15, (2 2 0); 2θ = 64.79°, rel. 21, (2 1 10); 2θ = 69.90°, rel. 14, (3 1 5); 2θ = 73.16°, rel. 13, (1 1 15)


What is the formula in the third record? BaV4O8